[1]
Nd5Dy12Cd2: theoretical XRD peak list (λ = 1.5418 Å (Cu Kα)), based on the PBE geometry in Alexandria.

Cell and atoms:
```
data_Nd5Dy12Cd2
_cell_length_a 15.522
_cell_length_b 9.291
_cell_length_c 8.383
_cell_angle_alpha 90.00
_cell_angle_beta 92.32
_cell_angle_gamma 90.00
_space_group_name_H-M_alt 'C 1 2/m 1'
_space_group_IT_number 12
_space_group_name_Hall '-C 2y'
loop_
_atom_site_label
_atom_site_type_symbol
_atom_site_fract_x
_atom_site_fract_y
_atom_site_fract_z
_atom_site_occupancy
Nd1 Nd 0.000 0.000 0.000 1
Nd2 Nd 0.203 0.500 0.517 1
Nd3 Nd 0.234 0.000 0.075 1
Dy1 Dy 0.055 0.500 0.826 1
Dy2 Dy 0.076 0.000 0.380 1
Dy3 Dy 0.127 0.308 0.174 1
Dy4 Dy 0.144 0.182 0.737 1
Cd1 Cd 0.000 0.327 0.500 1
```

Main lines, by angle (2θ from 15° to 90°):
- hkl 0 2 2, 2θ 28.7, intensity 37
- hkl 4 2 0, 2θ 30.0, intensity 47
- hkl 2 2 -2, 2θ 30.6, intensity 63
- hkl 1 3 -1, 2θ 31.2, intensity 36
- hkl 1 3 1, 2θ 31.4, intensity 50
- hkl 5 1 -1, 2θ 31.8, intensity 100
- hkl 4 0 2, 2θ 32.1, intensity 85
- hkl 1 1 -3, 2θ 33.8, intensity 70
- hkl 3 3 1, 2θ 35.7, intensity 56
- hkl 4 2 -2, 2θ 36.4, intensity 42



[2]
Nd3DyCd4: theoretical XRD peak list (λ = 1.5418 Å (Cu Kα)), based on the PBE geometry in Alexandria.

Cell and atoms:
```
data_Nd3DyCd4
_cell_length_a 3.813
_cell_length_b 3.813
_cell_length_c 15.447
_cell_angle_alpha 90.00
_cell_angle_beta 90.00
_cell_angle_gamma 90.00
_space_group_name_H-M_alt 'P 4/m m m'
_space_group_IT_number 123
_space_group_name_Hall '-P 4 2'
loop_
_atom_site_label
_atom_site_type_symbol
_atom_site_fract_x
_atom_site_fract_y
_atom_site_fract_z
_atom_site_occupancy
Nd1 Nd 0.000 0.000 0.000 1
Nd2 Nd 0.000 0.000 0.255 1
Dy1 Dy 0.000 0.000 0.500 1
Cd1 Cd 0.500 0.500 0.126 1
Cd2 Cd 0.500 0.500 0.384 1
```

Main lines, by angle (2θ from 15° to 90°):
- hkl 1 0 4, 2θ 33.0, intensity 100
- hkl 1 1 0, 2θ 33.2, intensity 50
- hkl 0 0 8, 2θ 47.1, intensity 9
- hkl 2 0 0, 2θ 47.7, intensity 18
- hkl 1 1 8, 2θ 58.8, intensity 18
- hkl 2 1 4, 2θ 59.2, intensity 36
- hkl 2 0 8, 2θ 69.3, intensity 11
- hkl 1 0 12, 2θ 78.4, intensity 7
- hkl 3 0 4, 2θ 79.4, intensity 8
- hkl 3 1 0, 2θ 79.5, intensity 8



[3]
NdDy2Cd2: theoretical XRD peak list (λ = 1.5418 Å (Cu Kα)), based on the PBE geometry in Alexandria.

Cell and atoms:
```
data_NdDy2Cd2
_cell_length_a 3.753
_cell_length_b 5.435
_cell_length_c 13.969
_cell_angle_alpha 90.00
_cell_angle_beta 97.74
_cell_angle_gamma 90.00
_space_group_name_H-M_alt 'P 1 21/m 1'
_space_group_IT_number 11
_space_group_name_Hall '-P 2yb'
loop_
_atom_site_label
_atom_site_type_symbol
_atom_site_fract_x
_atom_site_fract_y
_atom_site_fract_z
_atom_site_occupancy
Nd1 Nd 0.149 0.250 0.296 1
Dy1 Dy 0.047 0.750 0.093 1
Dy2 Dy 0.236 0.750 0.473 1
Cd1 Cd 0.358 0.250 0.717 1
Cd2 Cd 0.452 0.750 0.904 1
```

Main lines, by angle (2θ from 15° to 90°):
- hkl 0 0 5, 2θ 32.3, intensity 23
- hkl 0 2 0, 2θ 33.0, intensity 28
- hkl 1 1 2, 2θ 33.2, intensity 100
- hkl 0 2 5, 2θ 46.8, intensity 16
- hkl 2 0 -1, 2θ 48.5, intensity 9
- hkl 1 1 7, 2θ 58.2, intensity 12
- hkl 1 3 2, 2θ 59.0, intensity 19
- hkl 2 0 4, 2θ 59.5, intensity 8
- hkl 2 2 -1, 2θ 59.9, intensity 10
- hkl 2 2 4, 2θ 69.7, intensity 10



[4]
Nd3DyCd2: theoretical XRD peak list (λ = 1.5418 Å (Cu Kα)), based on the PBE geometry in Alexandria.

Cell and atoms:
```
data_Nd3DyCd2
_cell_length_a 3.773
_cell_length_b 3.773
_cell_length_c 12.817
_cell_angle_alpha 90.00
_cell_angle_beta 90.00
_cell_angle_gamma 90.00
_space_group_name_H-M_alt 'P 4/m m m'
_space_group_IT_number 123
_space_group_name_Hall '-P 4 2'
loop_
_atom_site_label
_atom_site_type_symbol
_atom_site_fract_x
_atom_site_fract_y
_atom_site_fract_z
_atom_site_occupancy
Nd1 Nd 0.000 0.000 0.000 1
Nd2 Nd 0.000 0.000 0.310 1
Dy1 Dy 0.500 0.500 0.500 1
Cd1 Cd 0.500 0.500 0.156 1
```

Main lines, by angle (2θ from 15° to 90°):
- hkl 1 0 3, 2θ 31.6, intensity 100
- hkl 1 1 0, 2θ 33.6, intensity 46
- hkl 0 0 6, 2θ 42.3, intensity 9
- hkl 2 0 0, 2θ 48.2, intensity 17
- hkl 1 1 6, 2θ 55.1, intensity 16
- hkl 2 1 3, 2θ 58.8, intensity 34
- hkl 2 0 6, 2θ 66.1, intensity 9
- hkl 2 2 0, 2θ 70.6, intensity 5
- hkl 3 0 3, 2θ 79.4, intensity 7
- hkl 3 1 0, 2θ 80.5, intensity 7



[5]
Nd3DyCd2: theoretical XRD peak list (λ = 1.5418 Å (Cu Kα)), based on the PBE geometry in Alexandria.

Cell and atoms:
```
data_Nd3DyCd2
_cell_length_a 4.963
_cell_length_b 14.890
_cell_length_c 4.813
_cell_angle_alpha 90.00
_cell_angle_beta 90.00
_cell_angle_gamma 90.00
_space_group_name_H-M_alt 'C m m m'
_space_group_IT_number 65
_space_group_name_Hall '-C 2 2'
loop_
_atom_site_label
_atom_site_type_symbol
_atom_site_fract_x
_atom_site_fract_y
_atom_site_fract_z
_atom_site_occupancy
Nd1 Nd 0.000 0.000 0.000 1
Nd2 Nd 0.000 0.328 0.000 1
Dy1 Dy 0.000 0.500 0.500 1
Cd1 Cd 0.000 0.164 0.500 1
```

Main lines, by angle (2θ from 15° to 90°):
- hkl 1 3 1, 2θ 31.5, intensity 100
- hkl 2 0 0, 2θ 36.2, intensity 34
- hkl 0 0 2, 2θ 37.4, intensity 16
- hkl 2 6 0, 2θ 52.1, intensity 12
- hkl 2 0 2, 2θ 53.0, intensity 23
- hkl 3 3 1, 2θ 62.2, intensity 28
- hkl 1 3 3, 2θ 63.8, intensity 13
- hkl 2 6 2, 2θ 65.9, intensity 12
- hkl 3 9 1, 2θ 85.4, intensity 6
- hkl 3 3 3, 2θ 86.8, intensity 11



[6]
NdDyCd4: theoretical XRD peak list (λ = 1.5418 Å (Cu Kα)), based on the PBE geometry in Alexandria.

Cell and atoms:
```
data_NdDyCd4
_cell_length_a 3.443
_cell_length_b 5.034
_cell_length_c 8.719
_cell_angle_alpha 90.00
_cell_angle_beta 90.00
_cell_angle_gamma 90.00
_space_group_name_H-M_alt 'P m m m'
_space_group_IT_number 47
_space_group_name_Hall '-P 2 2'
loop_
_atom_site_label
_atom_site_type_symbol
_atom_site_fract_x
_atom_site_fract_y
_atom_site_fract_z
_atom_site_occupancy
Nd1 Nd 0.000 0.000 0.000 1
Dy1 Dy 0.000 0.500 0.500 1
Cd1 Cd 0.500 0.000 0.337 1
Cd2 Cd 0.500 0.500 0.171 1
```

Main lines, by angle (2θ from 15° to 90°):
- hkl 1 0 2, 2θ 33.2, intensity 100
- hkl 0 2 0, 2θ 35.7, intensity 84
- hkl 1 2 2, 2θ 49.5, intensity 32
- hkl 2 0 0, 2θ 53.2, intensity 9
- hkl 1 1 5, 2θ 62.5, intensity 31
- hkl 0 3 3, 2θ 64.1, intensity 15
- hkl 2 2 0, 2θ 65.7, intensity 27
- hkl 0 4 0, 2θ 75.6, intensity 9
- hkl 1 3 5, 2θ 85.0, intensity 13
- hkl 2 3 3, 2θ 87.9, intensity 19



[7]
Nd3Dy4Cd: theoretical XRD peak list (λ = 1.5418 Å (Cu Kα)), based on the PBE geometry in Alexandria.

Cell and atoms:
```
data_Nd3Dy4Cd
_cell_length_a 3.619
_cell_length_b 3.619
_cell_length_c 19.288
_cell_angle_alpha 90.00
_cell_angle_beta 90.00
_cell_angle_gamma 90.00
_space_group_name_H-M_alt 'P 4/m m m'
_space_group_IT_number 123
_space_group_name_Hall '-P 4 2'
loop_
_atom_site_label
_atom_site_type_symbol
_atom_site_fract_x
_atom_site_fract_y
_atom_site_fract_z
_atom_site_occupancy
Nd1 Nd 0.000 0.000 0.000 1
Nd2 Nd 0.000 0.000 0.264 1
Dy1 Dy 0.500 0.500 0.132 1
Dy2 Dy 0.500 0.500 0.395 1
Cd1 Cd 0.000 0.000 0.500 1
```

Main lines, by angle (2θ from 15° to 90°):
- hkl 1 0 4, 2θ 30.9, intensity 100
- hkl 1 1 0, 2θ 35.1, intensity 40
- hkl 0 0 8, 2θ 37.3, intensity 11
- hkl 2 0 0, 2θ 50.4, intensity 14
- hkl 1 1 8, 2θ 52.1, intensity 17
- hkl 1 0 11, 2θ 58.5, intensity 8
- hkl 2 1 4, 2θ 60.3, intensity 30
- hkl 2 0 8, 2θ 64.4, intensity 9
- hkl 3 0 4, 2θ 82.4, intensity 6
- hkl 3 1 0, 2θ 84.7, intensity 7



[8]
Nd4DyCd2: theoretical XRD peak list (λ = 1.5418 Å (Cu Kα)), based on the PBE geometry in Alexandria.

Cell and atoms:
```
data_Nd4DyCd2
_cell_length_a 5.6199
_cell_length_b 5.6199
_cell_length_c 26.4688
_cell_angle_alpha 90.00
_cell_angle_beta 90.00
_cell_angle_gamma 120.00
_space_group_name_H-M_alt 'R -3 m'
_space_group_IT_number 166
_space_group_name_Hall '-R 3 2"'
loop_
_atom_site_label
_atom_site_type_symbol
_atom_site_fract_x
_atom_site_fract_y
_atom_site_fract_z
_atom_site_occupancy
Nd1 Nd 0.0000 0.0000 0.1299 1
Nd2 Nd 0.0000 0.0000 0.2642 1
Dy1 Dy 0.0000 0.0000 0.5000 1
Cd1 Cd 0.0000 0.0000 0.3846 1
```

Main lines, by angle (2θ from 15° to 90°):
- hkl 1 0 1, 2θ 18.5, intensity 10
- hkl 0 1 5, 2θ 24.9, intensity 13
- hkl 1 1 0, 2θ 31.8, intensity 100
- hkl 0 1 8, 2θ 32.7, intensity 74
- hkl 1 1 9, 2θ 44.6, intensity 17
- hkl 2 0 8, 2θ 46.3, intensity 28
- hkl 3 0 0, 2θ 56.7, intensity 19
- hkl 1 2 8, 2θ 57.3, intensity 29
- hkl 2 2 0, 2θ 66.6, intensity 12
- hkl 3 1 8, 2θ 76.2, intensity 13